For Li2HfPt5, a DFT-relaxed cell (GGA-PBE, Alexandria) gives the calculated X-ray powder pattern in this record (Cu Kα (λ = 1.5418 Å)).

Top 12 peaks for 15° ≤ 2θ ≤ 90°, sorted by position:
| 2θ (°) | Rel. int. |
| --- | --- |
| 30.86 | 13 |
| 33.45 | 31 |
| 38.44 | 12 |
| 40.35 | 100 |
| 44.21 | 41 |
| 52.06 | 10 |
| 59.99 | 13 |
| 64.30 | 14 |
| 70.64 | 16 |
| 75.14 | 11 |
| 78.71 | 29 |
| 87.23 | 9 |

Cell and atoms:
a b c (Å): 4.097 4.097 14.053
angles (deg): 90.00 90.00 90.00
Fractional positions:
Li  0.000  0.000  0.249
Li  0.000  0.000  0.751
Li  0.500  0.500  0.251
Li  0.500  0.500  0.749
Hf  0.000  0.000  0.000
Hf  0.500  0.500  0.500
Pt  0.000  0.000  0.500
Pt  0.000  0.500  0.138
Pt  0.000  0.500  0.362
Pt  0.000  0.500  0.638
Pt  0.000  0.500  0.862
Pt  0.500  0.000  0.138
Pt  0.500  0.000  0.362
Pt  0.500  0.000  0.638
Pt  0.500  0.000  0.862
Pt  0.500  0.500  0.000

For In2SnSb2Te, a DFT-relaxed cell (GGA-PBE, Alexandria) gives the calculated X-ray powder pattern in this record (Cu Kα (λ = 1.5418 Å)).

Top 12 peaks for 15° ≤ 2θ ≤ 90°, sorted by position:
| 2θ (°) | Rel. int. |
| --- | --- |
| 19.62 | 54 |
| 21.86 | 100 |
| 22.87 | 35 |
| 23.39 | 92 |
| 24.83 | 56 |
| 32.23 | 40 |
| 35.71 | 90 |
| 39.62 | 39 |
| 40.79 | 48 |
| 41.99 | 85 |
| 43.13 | 57 |
| 46.51 | 30 |

Cell and atoms:
a b c (Å): 8.189 8.189 7.607
angles (deg): 90.00 90.00 67.09
Fractional positions:
In  0.029  0.332  0.000
In  0.332  0.029  0.500
In  0.668  0.971  0.000
In  0.971  0.668  0.500
Sn  0.331  0.669  0.984
Sn  0.669  0.331  0.484
Sb  0.023  0.319  0.377
Sb  0.319  0.023  0.877
Sb  0.681  0.977  0.377
Sb  0.977  0.681  0.877
Te  0.282  0.718  0.374
Te  0.718  0.282  0.874

For In2GaAg2, a DFT-relaxed cell (GGA-PBE, Alexandria) gives the calculated X-ray powder pattern in this record (Cu Kα (λ = 1.5418 Å)).

Top 12 peaks for 15° ≤ 2θ ≤ 90°, sorted by position:
| 2θ (°) | Rel. int. |
| --- | --- |
| 25.33 | 42 |
| 31.53 | 61 |
| 34.16 | 64 |
| 35.02 | 59 |
| 35.30 | 53 |
| 38.12 | 67 |
| 38.56 | 100 |
| 38.85 | 36 |
| 39.68 | 72 |
| 40.11 | 76 |
| 64.92 | 45 |
| 68.81 | 29 |

Cell and atoms:
a b c (Å): 9.363 5.641 4.519
angles (deg): 90.00 112.87 90.00
Fractional positions:
In  0.192  0.000  0.175
In  0.308  0.500  0.825
In  0.692  0.500  0.175
In  0.808  0.000  0.825
Ga  0.000  0.500  0.000
Ga  0.500  0.000  0.000
Ag  0.000  0.244  0.500
Ag  0.000  0.756  0.500
Ag  0.500  0.256  0.500
Ag  0.500  0.744  0.500